Starting from a crystal structure in Alexandria, relaxed with GGA-PBE, the powder diffraction line list of BaOsRu was calculated for Cu Ka.

Structure:
Lattice parameters (Å, degrees): 4.7832 4.7916 9.9848 85.72 84.62 66.14
Element x y z (fractional)
Ba: 0.0000 0.0000 0.0000
Ba: 0.3127 0.3441 0.4270
Os: 0.2310 0.8551 0.6707
Os: 0.7387 0.3522 0.6714
Ru: 0.2238 0.3519 0.7589
Ru: 0.7140 0.8443 0.7572

The 10 most intense peaks (2θ from 15° to 90°), sorted by position:
17.86°, I 59; 26.93°, I 100; 30.10°, I 72; 33.38°, I 76; 36.98°, I 41; 39.26°, I 37; 41.24°, I 45; 41.76°, I 55; 42.65°, I 43; 45.44°, I 79



Starting from a crystal structure in Alexandria, relaxed with GGA-PBE, the powder diffraction line list of BaOsRu was calculated for Cu Ka.

Structure:
Lattice parameters (Å, degrees): 5.3363 4.1172 7.1360 90.00 90.07 90.00
Element x y z (fractional)
Ba: 0.0000 0.0000 0.0000
Ba: 0.0000 0.5000 0.5000
Os: 0.4660 0.0000 0.6655
Os: 0.5340 0.0000 0.3345
Ru: 0.4630 0.5000 0.1680
Ru: 0.5370 0.5000 0.8320

The 10 most intense peaks (2θ from 15° to 90°), sorted by position:
16.61°, I 21; 30.14°, I 100; 33.59°, I 25; 43.97°, I 41; 47.32°, I 9; 54.23°, I 19; 56.40°, I 12; 56.46°, I 23; 57.93°, I 17; 72.29°, I 16



Starting from a crystal structure in Alexandria, relaxed with GGA-PBE, the powder diffraction line list of BaSc2Os was calculated for Cu Ka.

Structure:
Lattice parameters (Å, degrees): 3.3140 3.3140 9.5664 90.00 90.00 90.00
Element x y z (fractional)
Ba: 0.0000 0.0000 0.0000
Sc: 0.5000 0.5000 0.3422
Sc: 0.5000 0.5000 0.6578
Os: 0.0000 0.0000 0.5000

The 10 most intense peaks (2θ from 15° to 90°), sorted by position:
18.55°, I 64; 26.90°, I 34; 32.88°, I 100; 38.41°, I 43; 42.98°, I 31; 46.85°, I 42; 55.45°, I 15; 65.99°, I 27; 71.58°, I 13; 75.46°, I 20



Starting from a crystal structure in Alexandria, relaxed with GGA-PBE, the powder diffraction line list of Ba2ScOs was calculated for Cu Ka.

Structure:
Lattice parameters (Å, degrees): 7.9035 4.5533 9.2653 90.00 106.38 90.00
Element x y z (fractional)
Ba: 0.0000 0.0000 0.0000
Ba: 0.1724 0.0000 0.5220
Ba: 0.5000 0.5000 0.0000
Ba: 0.6724 0.5000 0.5220
Sc: 0.2535 0.5000 0.2612
Sc: 0.7535 0.0000 0.2612
Os: 0.4196 0.0000 0.2592
Os: 0.9196 0.5000 0.2592

The 10 most intense peaks (2θ from 15° to 90°), sorted by position:
22.77°, I 31; 26.24°, I 70; 28.12°, I 100; 32.67°, I 54; 35.24°, I 22; 39.54°, I 68; 40.60°, I 20; 40.87°, I 28; 49.22°, I 21; 58.00°, I 29



Starting from a crystal structure in Alexandria, relaxed with GGA-PBE, the powder diffraction line list of BaSiOs2 was calculated for Cu Ka.

Structure:
Lattice parameters (Å, degrees): 4.2649 4.2649 17.8197 90.00 90.00 120.00
Element x y z (fractional)
Ba: 0.0000 0.0000 0.0000
Ba: 0.3333 0.6667 0.6667
Ba: 0.6667 0.3333 0.3333
Si: 0.0000 0.0000 0.1987
Si: 0.3333 0.6667 0.8653
Si: 0.6667 0.3333 0.5320
Os: 0.0000 0.0000 0.4987
Os: 0.0000 0.0000 0.8089
Os: 0.3333 0.6667 0.1654
Os: 0.3333 0.6667 0.4755
Os: 0.6667 0.3333 0.1422
Os: 0.6667 0.3333 0.8321

The 10 most intense peaks (2θ from 15° to 90°), sorted by position:
24.62°, I 28; 26.12°, I 42; 30.09°, I 56; 31.46°, I 100; 42.39°, I 90; 45.18°, I 35; 52.85°, I 70; 53.73°, I 22; 57.42°, I 34; 89.10°, I 21



Starting from a crystal structure in Alexandria, relaxed with GGA-PBE, the powder diffraction line list of BaTiOs was calculated for Cu Ka.

Structure:
Lattice parameters (Å, degrees): 23.9328 3.1307 4.1699 90.00 97.51 90.00
Element x y z (fractional)
Ba: 0.0760 0.0000 0.3910
Ba: 0.4240 0.5000 0.6090
Ba: 0.5760 0.5000 0.3910
Ba: 0.9240 0.0000 0.6090
Ti: 0.1962 0.0000 0.9619
Ti: 0.3038 0.5000 0.0381
Ti: 0.6962 0.5000 0.9619
Ti: 0.8038 0.0000 0.0381
Os: 0.2057 0.5000 0.4677
Os: 0.2943 0.0000 0.5323
Os: 0.7057 0.0000 0.4677
Os: 0.7943 0.5000 0.5323

The 10 most intense peaks (2θ from 15° to 90°), sorted by position:
21.49°, I 100; 21.82°, I 33; 30.13°, I 53; 30.71°, I 20; 34.32°, I 59; 37.92°, I 22; 38.68°, I 72; 39.45°, I 93; 42.22°, I 38; 43.44°, I 29



Starting from a crystal structure in Alexandria, relaxed with GGA-PBE, the powder diffraction line list of BaV2Os was calculated for Cu Ka.

Structure:
Lattice parameters (Å, degrees): 5.2691 5.2691 16.1705 90.00 90.00 90.00
Element x y z (fractional)
Ba: 0.0000 0.2500 0.3750
Ba: 0.0000 0.7500 0.6250
Ba: 0.5000 0.2500 0.1250
Ba: 0.5000 0.7500 0.8750
V: 0.0000 0.0000 0.0000
V: 0.0000 0.5000 0.0000
V: 0.2500 0.2500 0.7500
V: 0.2500 0.7500 0.2500
V: 0.5000 0.0000 0.5000
V: 0.5000 0.5000 0.5000
V: 0.7500 0.2500 0.7500
V: 0.7500 0.7500 0.2500
Os: 0.0000 0.2500 0.8750
Os: 0.0000 0.7500 0.1250
Os: 0.5000 0.2500 0.6250
Os: 0.5000 0.7500 0.3750

The 10 most intense peaks (2θ from 15° to 90°), sorted by position:
17.70°, I 21; 21.99°, I 17; 26.34°, I 100; 34.03°, I 26; 40.89°, I 31; 41.35°, I 30; 54.21°, I 23; 56.38°, I 24; 57.46°, I 12; 65.91°, I 15



Starting from a crystal structure in Alexandria, relaxed with GGA-PBE, the powder diffraction line list of BaVOs2 was calculated for Cu Ka.

Structure:
Lattice parameters (Å, degrees): 5.0901 5.0901 16.1231 90.00 90.00 90.00
Element x y z (fractional)
Ba: 0.0000 0.2500 0.3750
Ba: 0.0000 0.7500 0.6250
Ba: 0.5000 0.2500 0.1250
Ba: 0.5000 0.7500 0.8750
V: 0.0000 0.2500 0.8750
V: 0.0000 0.7500 0.1250
V: 0.5000 0.2500 0.6250
V: 0.5000 0.7500 0.3750
Os: 0.0000 0.0000 0.0000
Os: 0.0000 0.5000 0.0000
Os: 0.2500 0.2500 0.7500
Os: 0.2500 0.7500 0.2500
Os: 0.5000 0.0000 0.5000
Os: 0.5000 0.5000 0.5000
Os: 0.7500 0.2500 0.7500
Os: 0.7500 0.7500 0.2500

The 10 most intense peaks (2θ from 15° to 90°), sorted by position:
18.28°, I 54; 24.08°, I 100; 27.13°, I 43; 32.88°, I 46; 37.04°, I 78; 40.00°, I 54; 41.97°, I 26; 49.32°, I 35; 55.96°, I 52; 56.88°, I 30



Starting from a crystal structure in Alexandria, relaxed with GGA-PBE, the powder diffraction line list of BaOsW2 was calculated for Cu Ka.

Structure:
Lattice parameters (Å, degrees): 9.6046 3.1209 6.6339 90.00 103.45 90.00
Element x y z (fractional)
Ba: 0.0000 0.0000 0.0000
Ba: 0.5000 0.5000 0.0000
Os: 0.2337 0.0000 0.6468
Os: 0.7337 0.5000 0.6468
W: 0.0155 0.5000 0.5224
W: 0.3004 0.5000 0.3832
W: 0.5155 0.0000 0.5224
W: 0.8004 0.0000 0.3832

The 10 most intense peaks (2θ from 15° to 90°), sorted by position:
26.03°, I 25; 27.65°, I 21; 29.77°, I 53; 34.25°, I 84; 38.55°, I 34; 39.78°, I 19; 41.02°, I 100; 41.98°, I 20; 42.96°, I 30; 54.54°, I 36



Starting from a crystal structure in Alexandria, relaxed with GGA-PBE, the powder diffraction line list of Ba2OsW was calculated for Cu Ka.

Structure:
Lattice parameters (Å, degrees): 7.4067 4.2789 9.7808 90.00 105.88 90.00
Element x y z (fractional)
Ba: 0.0000 0.0000 0.0000
Ba: 0.1914 0.0000 0.5263
Ba: 0.5000 0.5000 0.0000
Ba: 0.6914 0.5000 0.5263
Os: 0.2702 0.5000 0.2842
Os: 0.7702 0.0000 0.2842
W: 0.4245 0.0000 0.2501
W: 0.9245 0.5000 0.2501

The 10 most intense peaks (2θ from 15° to 90°), sorted by position:
27.31°, I 46; 28.46°, I 38; 28.68°, I 100; 29.14°, I 51; 33.02°, I 25; 34.93°, I 33; 38.27°, I 35; 42.26°, I 92; 52.14°, I 24; 57.71°, I 22



Starting from a crystal structure in Alexandria, relaxed with GGA-PBE, the powder diffraction line list of Ba8P was calculated for Cu Ka.

Structure:
Lattice parameters (Å, degrees): 10.8045 10.8045 10.8045 92.41 92.41 156.33
Element x y z (fractional)
Ba: 0.0000 0.3371 0.3371
Ba: 0.0000 0.6629 0.6629
Ba: 0.3371 0.0000 0.3371
Ba: 0.3745 0.3745 0.7490
Ba: 0.3745 0.6255 0.0000
Ba: 0.6255 0.3745 0.0000
Ba: 0.6255 0.6255 0.2510
Ba: 0.6629 0.0000 0.6629
P: 0.0000 0.0000 0.0000

The 10 most intense peaks (2θ from 15° to 90°), sorted by position:
23.80°, I 11; 24.09°, I 15; 25.27°, I 46; 26.92°, I 100; 30.48°, I 18; 34.99°, I 12; 36.23°, I 22; 43.81°, I 21; 45.55°, I 17; 48.52°, I 15



Starting from a crystal structure in Alexandria, relaxed with GGA-PBE, the powder diffraction line list of Ba4P5 was calculated for Cu Ka.

Structure:
Lattice parameters (Å, degrees): 9.5896 9.5896 6.6869 90.00 90.00 120.00
Element x y z (fractional)
Ba: 0.0000 0.0000 0.0000
Ba: 0.0000 0.0000 0.5000
Ba: 0.0000 0.3880 0.2500
Ba: 0.0000 0.6120 0.7500
Ba: 0.3880 0.0000 0.2500
Ba: 0.3880 0.3880 0.7500
Ba: 0.6120 0.0000 0.7500
Ba: 0.6120 0.6120 0.2500
P: 0.0000 0.2894 0.7500
P: 0.0000 0.7106 0.2500
P: 0.2894 0.0000 0.7500
P: 0.2894 0.2894 0.2500
P: 0.3333 0.6667 0.0000
P: 0.3333 0.6667 0.5000
P: 0.6667 0.3333 0.0000
P: 0.6667 0.3333 0.5000
P: 0.7106 0.0000 0.2500
P: 0.7106 0.7106 0.7500

The 10 most intense peaks (2θ from 15° to 90°), sorted by position:
21.40°, I 52; 22.82°, I 70; 31.48°, I 49; 32.34°, I 85; 32.65°, I 100; 41.46°, I 40; 47.96°, I 21; 57.88°, I 21; 60.60°, I 21; 65.19°, I 22



Starting from a crystal structure in Alexandria, relaxed with GGA-PBE, the powder diffraction line list of Ba5P4 was calculated for Cu Ka.

Structure:
Lattice parameters (Å, degrees): 9.3749 9.3749 8.5188 90.00 90.00 53.48
Element x y z (fractional)
Ba: 0.0000 0.0000 0.0000
Ba: 0.0197 0.6857 0.6617
Ba: 0.1857 0.5197 0.1617
Ba: 0.3143 0.9803 0.6617
Ba: 0.4803 0.8143 0.1617
Ba: 0.5000 0.5000 0.5000
Ba: 0.5197 0.1857 0.8383
Ba: 0.6857 0.0197 0.3383
Ba: 0.8143 0.4803 0.8383
Ba: 0.9803 0.3143 0.3383
P: 0.0972 0.9028 0.4050
P: 0.1967 0.1967 0.0000
P: 0.3033 0.3033 0.5000
P: 0.4028 0.5972 0.9050
P: 0.5972 0.4028 0.0950
P: 0.6967 0.6967 0.5000
P: 0.8033 0.8033 0.0000
P: 0.9028 0.0972 0.5950

The 10 most intense peaks (2θ from 15° to 90°), sorted by position:
23.55°, I 72; 24.00°, I 39; 28.40°, I 100; 29.93°, I 34; 30.08°, I 38; 31.90°, I 55; 32.07°, I 40; 33.73°, I 38; 34.00°, I 40; 48.38°, I 49



Starting from a crystal structure in Alexandria, relaxed with GGA-PBE, the powder diffraction line list of BaP5 was calculated for Cu Ka.

Structure:
Lattice parameters (Å, degrees): 4.6093 3.7581 14.9308 90.00 90.00 90.00
Element x y z (fractional)
Ba: 0.0000 0.0000 0.0000
Ba: 0.0000 0.5000 0.5000
P: 0.0000 0.0000 0.2697
P: 0.0000 0.0000 0.6795
P: 0.0000 0.5000 0.1795
P: 0.0000 0.5000 0.7697
P: 0.5000 0.0000 0.2630
P: 0.5000 0.0000 0.6286
P: 0.5000 0.0000 0.8565
P: 0.5000 0.5000 0.1286
P: 0.5000 0.5000 0.3565
P: 0.5000 0.5000 0.7630

The 10 most intense peaks (2θ from 15° to 90°), sorted by position:
19.26°, I 36; 22.67°, I 77; 23.84°, I 35; 24.42°, I 52; 29.79°, I 100; 30.82°, I 82; 31.29°, I 66; 35.72°, I 97; 39.08°, I 49; 49.90°, I 44